Diffraction record for Er2B6Os. The powder diffractogram is theoretical, not measured: it uses DFT lattice parameters and positions (GGA-PBE) and CuKα.
Lines closer than 0.1° are merged.

The 10 most intense peaks (2θ from 10° to 90°), by angle:
2θ 24.5, d = 3.627 Å, I 100
2θ 30.5, d = 2.927 Å, I 64
2θ 32.8, d = 2.732 Å, I 29
2θ 33.5, d = 2.679 Å, I 25
2θ 39.6, d = 2.278 Å, I 77
2θ 40.1, d = 2.248 Å, I 26
2θ 41.4, d = 2.182 Å, I 36
2θ 41.9, d = 2.155 Å, I 32
2θ 50.3, d = 1.814 Å, I 21
2θ 60.0, d = 1.541 Å, I 29

Structural model:
abc: 9.091 11.457 3.627
angles: 90.00 90.00 90.00
Space group Pbam (No. 55)
Asymmetric unit:
Er 0.056 0.127 0.000 [4 per cell]
Er 0.178 0.414 0.000 [4 per cell]
B 0.017 0.287 0.500 [4 per cell]
B 0.054 0.567 0.500 [4 per cell]
B 0.109 0.970 0.500 [4 per cell]
B 0.132 0.815 0.500 [4 per cell]
B 0.209 0.234 0.500 [4 per cell]
B 0.248 0.580 0.500 [4 per cell]
Os 0.138 0.679 0.000 [4 per cell]